[1]
Starting from a PBE-relaxed structure, the X-ray powder pattern of PrNbB was calculated for Cu Kα.
Lines closer than 0.1° are merged.

```
data_PrNbB
_chemical_formula_sum 'Pr4 Nb4 B4'
_cell_length_a 6.1436
_cell_length_b 6.1436
_cell_length_c 6.1436
_cell_angle_alpha 90.00
_cell_angle_beta 90.00
_cell_angle_gamma 90.00
_symmetry_space_group_name_H-M 'F -4 3 m'
_symmetry_Int_Tables_number 216
_symmetry_space_group_name_Hall 'F -4 2 3'
loop_
_atom_site_label
_atom_site_type_symbol
_atom_site_fract_x
_atom_site_fract_y
_atom_site_fract_z
Pr1 Pr 0.0000 0.0000 0.0000
Nb1 Nb 0.0000 0.0000 0.5000
B1 B 0.2500 0.2500 0.7500
```

Principal peaks in the range 10 to 90 degrees two-theta, most intense first:
two_theta	I (rel.)
29.07	100.0
41.58	86.2
68.28	34.5
75.87	28.4
51.53	27.1
60.26	14.1
25.11	7.8
49.19	4.1
66.32	1.7
81.39	1.3

=====

[2]
Starting from a PBE-relaxed structure, the X-ray powder pattern of Nb4B3Sb was calculated for Cu Kα.
Lines closer than 0.1° are merged.

```
data_Nb4B3Sb
_chemical_formula_sum 'Nb8 B6 Sb2'
_cell_length_a 3.3382
_cell_length_b 3.3382
_cell_length_c 23.8621
_cell_angle_alpha 90.00
_cell_angle_beta 90.00
_cell_angle_gamma 120.00
_symmetry_space_group_name_H-M 'P 63/m m c'
_symmetry_Int_Tables_number 194
_symmetry_space_group_name_Hall '-P 6c 2c'
loop_
_atom_site_label
_atom_site_type_symbol
_atom_site_fract_x
_atom_site_fract_y
_atom_site_fract_z
Nb1 Nb 0.0000 0.0000 0.1606
Nb2 Nb 0.3333 0.6667 0.0541
B1 B 0.0000 0.0000 0.0000
B2 B 0.3333 0.6667 0.6104
Sb1 Sb 0.3333 0.6667 0.2500
```

Principal peaks in the range 10 to 90 degrees two-theta, most intense first:
two_theta	I (rel.)
38.50	100.0
36.33	96.7
55.02	52.1
34.47	50.9
31.16	44.5
68.62	37.0
37.70	36.9
52.76	19.0
69.15	16.9
71.13	16.1
31.85	15.1
67.73	14.9

=====

[3]
Starting from a PBE-relaxed structure, the X-ray powder pattern of Sc2NbB6 was calculated for Cu Kα.
Lines closer than 0.1° are merged.

```
data_Sc2NbB6
_chemical_formula_sum 'Sc8 Nb4 B24'
_cell_length_a 9.1841
_cell_length_b 11.3812
_cell_length_c 3.5000
_cell_angle_alpha 90.00
_cell_angle_beta 90.00
_cell_angle_gamma 90.00
_symmetry_space_group_name_H-M 'P b a m'
_symmetry_Int_Tables_number 55
loop_
_symmetry_equiv_pos_as_xyz
'x,y,z'
'-x,-y,-z'
'-x,-y,z'
'x,y,-z'
'x+1/2,-y+1/2,-z'
'-x+1/2,y+1/2,z'
'-x+1/2,y+1/2,-z'
'x+1/2,-y+1/2,z'
loop_
_atom_site_label
_atom_site_type_symbol
_atom_site_fract_x
_atom_site_fract_y
_atom_site_fract_z
Sc1 Sc 0.0559 0.1300 0.0000
Sc2 Sc 0.1756 0.4133 0.0000
Nb1 Nb 0.1438 0.6804 0.0000
B1 B 0.0225 0.2882 0.5000
B2 B 0.0538 0.5618 0.5000
B3 B 0.0942 0.9742 0.5000
B4 B 0.1312 0.8228 0.5000
B5 B 0.2002 0.2412 0.5000
B6 B 0.2411 0.0748 0.5000
```

Principal peaks in the range 10 to 90 degrees two-theta, most intense first:
two_theta	I (rel.)
25.44	100.0
42.09	76.5
39.92	62.4
46.09	50.5
32.96	49.0
40.18	48.2
30.23	40.7
20.86	38.6
18.34	38.1
42.32	37.7
40.87	36.3
15.57	35.2